Starting from a DFT-relaxed cell (GGA-PBE, the Materials Project), the PXRD pattern of P2Ru was calculated for λ = 1.5418 Å (Cu Kα).
Intensities are scaled so that the largest is 100.

The 10 most intense peaks (5° ≤ 2θ ≤ 70°), low angle first:
2θ = 22.9°, rel. 100, (1 1 0)
2θ = 30.2°, rel. 40, (0 2 0)
2θ = 34.9°, rel. 29, (2 0 0)
2θ = 35.5°, rel. 92, (1 0 1)
2θ = 46.8°, rel. 24, (2 2 0)
2θ = 47.3°, rel. 46, (1 2 1)
2θ = 49.4°, rel. 30, (1 3 0)
2θ = 49.8°, rel. 55, (2 1 1)
2θ = 55.8°, rel. 27, (3 1 0)
2θ = 56.3°, rel. 28, (0 3 1)

Structure:
```
P2Ru
1.0
5.1423 0.0000 0.0000
0.0000 5.9270 0.0000
0.0000 0.0000 2.9037
P Ru
4 2
direct
0.1619 0.1272 0.0000
0.3381 0.6272 0.5000
0.6619 0.3728 0.5000
0.8381 0.8728 0.0000
0.0000 0.5000 0.0000
0.5000 0.0000 0.5000
```